Entry 1:
This entry pairs a crystal structure of K9Rb4Na2 with its computed X-ray powder pattern. Radiation: Cu Kα. Structure: a cell relaxed with GGA-PBE.
Kinematic intensities with the Lorentz-polarization factor, no thermal factor.

Top 10 peaks for 5° ≤ 2θ ≤ 70°, in order of falling intensity:
Position (°2θ)  intensity
24.1  1000
42.5  303
34.4  189
14.4  118
42.3  95
67.3  94
55.8  85
55.6  80
49.5  64
49.3  59

```
K9Rb4Na2
1.0
7.364 0.000 0.000
-3.682 6.377 0.000
0.000 0.000 22.684
K Rb Na
9 4 2
Direct
0.000 0.000 0.000
0.000 0.000 0.209
0.000 0.000 0.403
0.000 0.000 0.597
0.000 0.000 0.791
0.333 0.667 0.076
0.333 0.667 0.458
0.667 0.333 0.542
0.667 0.333 0.924
0.333 0.667 0.669
0.333 0.667 0.869
0.667 0.333 0.131
0.667 0.333 0.331
0.333 0.667 0.264
0.667 0.333 0.736
```


Entry 2:
This entry pairs a crystal structure of Fe7Co with its computed X-ray powder pattern. Radiation: Cu Kα. Structure: a cell relaxed with GGA-PBE.
Kinematic intensities with the Lorentz-polarization factor, no thermal factor.

Top 5 peaks for 5° ≤ 2θ ≤ 70°, in order of falling intensity:
Position (°2θ)  intensity
45.2  1000
45.0  506
65.5  74
65.6  74
66.0  72

```
Fe7Co
1.0
2.830 -5.694 0.000
2.830 5.694 0.000
0.000 0.000 2.851
Fe Co
7 1
Direct
0.000 0.000 0.000
0.126 0.375 0.500
0.250 0.750 0.000
0.375 0.126 0.500
0.625 0.874 0.500
0.750 0.250 0.000
0.874 0.625 0.500
0.500 0.500 0.000
```


Entry 3:
This entry pairs a crystal structure of Er3Hf with its computed X-ray powder pattern. Radiation: Cu Kα. Structure: a cell relaxed with GGA-PBE.
Kinematic intensities with the Lorentz-polarization factor, no thermal factor.

Top 4 peaks for 5° ≤ 2θ ≤ 70°, in order of falling intensity:
Position (°2θ)  intensity
33.0  1000
58.9  385
47.3  184
69.2  119

```
Er3Hf
1.0
0.000 3.841 3.841
3.841 0.000 3.841
3.841 3.841 0.000
Er Hf
3 1
Direct
0.000 0.000 0.000
0.250 0.250 0.250
0.750 0.750 0.750
0.500 0.500 0.500
```


Entry 4:
This entry pairs a crystal structure of PdPb5 with its computed X-ray powder pattern. Radiation: Cu Kα. Structure: a cell relaxed with GGA-PBE.
Kinematic intensities with the Lorentz-polarization factor, no thermal factor.

Top 10 peaks for 5° ≤ 2θ ≤ 70°, in order of falling intensity:
Position (°2θ)  intensity
34.4  1000
28.6  667
39.7  557
36.6  467
31.9  465
55.8  286
61.3  285
58.3  186
56.7  183
69.6  149

```
PdPb5
1.0
-3.591 3.591 6.720
3.591 -3.591 6.720
3.591 3.591 -6.720
Pd Pb
2 10
Direct
0.250 0.250 0.000
0.750 0.750 0.000
0.000 0.000 0.000
0.013 0.513 0.821
0.192 0.013 0.500
0.308 0.808 0.821
0.487 0.308 0.500
0.500 0.500 0.000
0.513 0.692 0.500
0.692 0.192 0.179
0.808 0.987 0.500
0.987 0.487 0.179
```


Entry 5:
This entry pairs a crystal structure of HfTcSnRu with its computed X-ray powder pattern. Radiation: Cu Kα. Structure: a cell relaxed with GGA-PBE.
Kinematic intensities with the Lorentz-polarization factor, no thermal factor.

Top 10 peaks for 5° ≤ 2θ ≤ 70°, in order of falling intensity:
Position (°2θ)  intensity
39.1  1000
39.7  240
40.0  236
57.6  162
55.5  91
27.9  40
26.9  22
19.6  19
33.5  18
19.7  15

```
HfTcSnRu
1.0
3.313 0.000 0.000
0.000 4.513 0.000
0.000 0.000 4.538
Hf Tc Sn Ru
1 1 1 1
Direct
0.000 0.000 0.000
0.500 0.000 0.500
0.000 0.500 0.500
0.500 0.500 0.000
```


Entry 6:
This entry pairs a crystal structure of TlAsF4 with its computed X-ray powder pattern. Radiation: Cu Kα. Structure: a cell relaxed with GGA-PBE.
Kinematic intensities with the Lorentz-polarization factor, no thermal factor.

Top 10 peaks for 5° ≤ 2θ ≤ 70°, in order of falling intensity:
Position (°2θ)  intensity
23.8  1000
28.3  441
23.6  436
38.5  350
28.6  312
44.5  196
45.2  189
14.2  168
30.3  156
21.8  153

```
TlAsF4
1.0
4.011 -2.418 0.000
4.011 2.418 0.000
-2.271 0.000 6.237
Tl As F
1 1 4
Direct
0.000 0.000 0.000
0.485 0.515 0.500
0.074 0.620 0.527
0.336 0.431 0.186
0.380 0.926 0.473
0.569 0.664 0.814
```